# PmMnCr2N4
Simulated powder diffractogram, λ = 1.5418 Å (Cu Kα). Input: DFT lattice parameters and positions (PBE).
Lines closer than 0.1° are merged.

Largest 8 diffraction maxima, low angle first, 2θ from 10° to 80°:
| Position (°2θ) | I_rel | hkl |
| --- | --- | --- |
| 15.0 | 26 | 0 2 0 |
| 19.1 | 27 | 0 0 2 |
| 31.7 | 35 | 0 4 1 |
| 34.7 | 100 | 1 1 2 |
| 37.3 | 100 | 1 3 1 |
| 38.7 | 31 | 0 0 4 |
| 42.2 | 45 | 0 4 3 |
| 62.2 | 34 | 1 3 5 |

```
data_PmMnCr2N4
_space_group_name_H-M_alt 'C m c m'
_space_group_IT_number 63
_space_group_name_Hall '-C 2c 2'
_cell_length_a 3.228
_cell_length_b 11.838
_cell_length_c 9.307
_cell_angle_alpha 90.00
_cell_angle_beta 90.00
_cell_angle_gamma 90.00
loop_
_atom_site_label
_atom_site_type_symbol
_atom_site_fract_x
_atom_site_fract_y
_atom_site_fract_z
Pm1 Pm 0.000 0.074 0.250
Mn1 Mn 0.000 0.202 0.750
Cr1 Cr 0.000 0.403 0.040
N1 N 0.000 0.000 0.000
N2 N 0.000 0.311 0.607
N3 N 0.000 0.397 0.250
```